Starting from the GGA+U geometry in the Materials Project, the X-ray powder pattern of KCoO2 was computed for λ = 1.5418 Å (Cu Kα).

Structural model:
```
data_KCoO2
_cell_length_a 3.2561
_cell_length_b 6.4927
_cell_length_c 6.9220
_cell_angle_alpha 66.41
_cell_angle_beta 76.42
_cell_angle_gamma 75.95
_space_group_name_H-M_alt 'P -1'
_space_group_IT_number 2
loop_
_space_group_symop_operation_xyz
'x,y,z'
'-x,-y,-z'
loop_
_atom_site_label
_atom_site_type_symbol
_atom_site_fract_x
_atom_site_fract_y
_atom_site_fract_z
_atom_site_occupancy
K1 K 0.1957 0.3476 0.2687 1
Co1 Co 0.0517 0.1076 0.7931 1
O1 O 0.1154 0.7939 0.9719 1
O2 O 0.4128 0.8186 0.3499 1
```

Main lines, by angle (2θ = 15–90°):
d [Å], two_theta, intensity, h k l
5.867, 15.10, 36, 0 1 0
5.367, 16.52, 19, 0 1 1
3.131, 28.51, 100, 0 2 1
3.116, 28.65, 58, 1 1 1
2.635, 34.02, 25, 1 1 2
2.582, 34.74, 12, 1 -1 0
2.349, 38.32, 29, 0 2 -1
2.101, 43.06, 24, 0 2 3
2.059, 43.99, 21, 1 1 3
1.962, 46.27, 14, 1 -1 2
1.949, 46.60, 13, 1 2 -1
1.628, 56.54, 16, 2 1 1

Starting from the GGA+U geometry in the Materials Project, the X-ray powder pattern of CsVS2O8 was computed for λ = 1.5418 Å (Cu Kα).

Structural model:
```
data_CsVS2O8
_cell_length_a 4.9791
_cell_length_b 4.9791
_cell_length_c 9.0033
_cell_angle_alpha 90.00
_cell_angle_beta 90.00
_cell_angle_gamma 120.00
_space_group_name_H-M_alt 'P -3'
_space_group_IT_number 147
loop_
_space_group_symop_operation_xyz
'x,y,z'
'-x,-y,-z'
'-y,x-y,z'
'y,-x+y,-z'
'-x+y,-x,z'
'x-y,x,-z'
loop_
_atom_site_label
_atom_site_type_symbol
_atom_site_fract_x
_atom_site_fract_y
_atom_site_fract_z
_atom_site_occupancy
Cs1 Cs 0.0000 0.0000 0.0000 1
V1 V 0.0000 0.0000 0.5000 1
S1 S 0.3333 0.6667 0.6898 1
O1 O 0.0771 0.7149 0.6340 1
O2 O 0.3333 0.6667 0.8524 1
```

Main lines, by angle (2θ = 15–90°):
d [Å], two_theta, intensity, h k l
4.312, 20.60, 41, 1 0 0
3.889, 22.87, 64, 1 0 1
3.114, 28.67, 100, 0 1 2
3.001, 29.77, 12, 0 0 3
2.490, 36.08, 33, 1 1 0
2.400, 37.48, 14, 2 -1 1
2.179, 41.45, 17, 1 1 2
1.995, 45.46, 23, 1 0 4
1.945, 46.71, 25, 0 2 2
1.670, 55.00, 13, 2 -1 4
1.557, 59.36, 11, 0 2 4
1.532, 60.41, 21, 1 2 2

Starting from the GGA+U geometry in the Materials Project, the X-ray powder pattern of Li5Fe8B8O24 was computed for λ = 1.5418 Å (Cu Kα).

Structural model:
```
data_Li5Fe8B8O24
_cell_length_a 5.2574
_cell_length_b 9.0898
_cell_length_c 11.3507
_cell_angle_alpha 113.16
_cell_angle_beta 103.35
_cell_angle_gamma 90.17
_space_group_name_H-M_alt 'P 1'
_space_group_IT_number 1
loop_
_space_group_symop_operation_xyz
'x,y,z'
loop_
_atom_site_label
_atom_site_type_symbol
_atom_site_fract_x
_atom_site_fract_y
_atom_site_fract_z
_atom_site_occupancy
Li1 Li 0.0000 0.0000 0.0000 1
Li2 Li 0.0231 0.0320 0.7366 1
Li3 Li 0.2158 0.2634 0.5000 1
Li4 Li 0.5040 0.5023 0.0020 1
Li5 Li 0.7067 0.7572 0.4938 1
Fe1 Fe 0.1949 0.9113 0.4621 1
Fe2 Fe 0.2430 0.6070 0.2173 1
Fe3 Fe 0.4794 0.8106 0.9609 1
Fe4 Fe 0.5003 0.2019 0.7177 1
Fe5 Fe 0.6885 0.4038 0.4639 1
Fe6 Fe 0.7441 0.1054 0.2171 1
Fe7 Fe 0.9809 0.3161 0.9668 1
Fe8 Fe 0.9972 0.6783 0.7145 1
B1 B 0.2020 0.5695 0.4644 1
B2 B 0.2467 0.9357 0.2088 1
B3 B 0.4653 0.1499 0.9622 1
B4 B 0.4908 0.8567 0.7109 1
B5 B 0.7024 0.0684 0.4632 1
B6 B 0.7472 0.4361 0.2111 1
B7 B 0.9656 0.6484 0.9637 1
B8 B 0.9987 0.3522 0.7100 1
O1 O 0.0656 0.7545 0.9172 1
O2 O 0.0798 0.0455 0.1917 1
O3 O 0.1382 0.5519 0.0077 1
O4 O 0.1769 0.8258 0.2552 1
O5 O 0.1961 0.1289 0.9453 1
O6 O 0.2438 0.3442 0.6907 1
O7 O 0.3108 0.6756 0.4210 1
O8 O 0.3196 0.4369 0.4634 1
O9 O 0.3546 0.9698 0.6767 1
O10 O 0.3652 0.7615 0.7549 1
O11 O 0.4641 0.1006 0.4949 1
O12 O 0.4829 0.9310 0.1730 1
O13 O 0.5737 0.2676 0.9334 1
O14 O 0.5827 0.5489 0.1986 1
O15 O 0.6302 0.0503 0.0065 1
O16 O 0.6790 0.3260 0.2578 1
O17 O 0.7103 0.6428 0.9674 1
O18 O 0.7506 0.8384 0.7004 1
O19 O 0.8191 0.1709 0.4181 1
O20 O 0.8298 0.9427 0.4772 1
O21 O 0.8479 0.4658 0.6774 1
O22 O 0.8958 0.2503 0.7561 1
O23 O 0.9703 0.6049 0.5094 1
O24 O 0.9847 0.4325 0.1762 1
```

Main lines, by angle (2θ = 15–90°):
d [Å], two_theta, intensity, h k l
4.552, 19.50, 100, 1 -1 0
4.153, 21.40, 54, 1 -1 1
4.136, 21.48, 82, 0 2 -2
3.390, 26.29, 34, 0 2 1
3.379, 26.37, 54, 1 1 1
2.627, 34.14, 94, 2 0 -1
2.525, 35.56, 95, 0 0 4
2.334, 38.57, 30, 1 3 0
2.221, 40.61, 45, 0 4 -1
2.217, 40.69, 31, 2 2 -1
1.695, 54.12, 38, 3 1 -1
1.515, 61.18, 32, 3 3 -3

Starting from the GGA+U geometry in the Materials Project, the X-ray powder pattern of CoH2O2 was computed for λ = 1.5418 Å (Cu Kα).

Structural model:
```
data_CoH2O2
_cell_length_a 3.1735
_cell_length_b 3.2016
_cell_length_c 5.0885
_cell_angle_alpha 80.75
_cell_angle_beta 78.92
_cell_angle_gamma 61.22
_space_group_name_H-M_alt 'P 1'
_space_group_IT_number 1
loop_
_space_group_symop_operation_xyz
'x,y,z'
loop_
_atom_site_label
_atom_site_type_symbol
_atom_site_fract_x
_atom_site_fract_y
_atom_site_fract_z
_atom_site_occupancy
Co1 Co 0.0000 0.0000 0.0000 1
H1 H 0.2235 0.2600 0.4040 1
H2 H 0.7398 0.7780 0.5954 1
O1 O 0.2862 0.2965 0.2091 1
O2 O 0.7093 0.7101 0.7894 1
```

Main lines, by angle (2θ = 15–90°):
d [Å], two_theta, intensity, h k l
4.978, 17.82, 100, 0 0 1
2.797, 32.00, 14, 0 1 0
2.757, 32.48, 14, 1 0 0
2.596, 34.55, 21, 1 1 1
2.360, 38.13, 26, 0 1 -1
2.286, 39.41, 23, 1 0 -1
2.047, 44.25, 17, 1 1 2
1.790, 51.01, 8, 0 1 -2
1.736, 52.72, 7, 1 0 -2
1.622, 56.75, 7, 1 -1 0
1.582, 58.34, 6, 1 2 1
1.557, 59.37, 9, 2 1 0

Starting from the GGA+U geometry in the Materials Project, the X-ray powder pattern of LiV2P2O8 was computed for λ = 1.5418 Å (Cu Kα).

Structural model:
```
data_LiV2P2O8
_cell_length_a 6.4307
_cell_length_b 4.9363
_cell_length_c 9.0835
_cell_angle_alpha 90.00
_cell_angle_beta 90.00
_cell_angle_gamma 90.00
_space_group_name_H-M_alt 'P m c 21'
_space_group_IT_number 26
loop_
_space_group_symop_operation_xyz
'x,y,z'
'-x,-y,z+1/2'
'-x,y,z'
'x,-y,z+1/2'
loop_
_atom_site_label
_atom_site_type_symbol
_atom_site_fract_x
_atom_site_fract_y
_atom_site_fract_z
_atom_site_occupancy
Li1 Li 0.0000 0.2150 0.0000 1
V1 V 0.2624 0.2495 0.6666 1
P1 P 0.0000 0.2770 0.3424 1
P2 P 0.5000 0.2367 0.9911 1
O1 O 0.0000 0.0324 0.7949 1
O2 O 0.0000 0.3058 0.5180 1
O3 O 0.1960 0.4155 0.2870 1
O4 O 0.2996 0.0983 0.0452 1
O5 O 0.5000 0.2070 0.8192 1
O6 O 0.5000 0.4625 0.5463 1
```

Main lines, by angle (2θ = 15–90°):
d [Å], two_theta, intensity, h k l
4.542, 19.55, 17, 0 0 2
4.337, 20.48, 49, 0 1 1
3.710, 23.99, 37, 1 0 2
3.596, 24.76, 90, 1 1 1
2.624, 34.17, 64, 2 0 2
2.582, 34.75, 100, 0 1 3
2.468, 36.40, 21, 0 2 0
2.317, 38.87, 23, 2 1 2
2.013, 45.04, 18, 2 1 3
1.798, 50.78, 34, 2 2 2
1.506, 61.56, 30, 2 1 5
1.446, 64.43, 25, 2 3 1

Starting from the GGA+U geometry in the Materials Project, the X-ray powder pattern of CrCo3O8 was computed for λ = 1.5418 Å (Cu Kα).

Structural model:
```
data_CrCo3O8
_cell_length_a 5.6293
_cell_length_b 5.6293
_cell_length_c 8.8376
_cell_angle_alpha 90.00
_cell_angle_beta 90.00
_cell_angle_gamma 120.00
_space_group_name_H-M_alt 'P 63 m c'
_space_group_IT_number 186
_space_group_name_Hall 'P 6c -2c'
loop_
_atom_site_label
_atom_site_type_symbol
_atom_site_fract_x
_atom_site_fract_y
_atom_site_fract_z
_atom_site_occupancy
Cr1 Cr 0.3333 0.6667 0.0000 1
Co1 Co 0.1673 0.3347 0.7192 1
O1 O 0.0000 0.0000 0.3259 1
O2 O 0.0408 0.5204 0.8439 1
O3 O 0.1643 0.3285 0.1168 1
O4 O 0.3333 0.6667 0.6112 1
```

Main lines, by angle (2θ = 15–90°):
d [Å], two_theta, intensity, h k l
4.419, 20.09, 86, 0 0 2
4.269, 20.81, 100, 1 0 1
3.274, 27.24, 35, 1 0 2
2.521, 35.61, 29, 1 0 3
2.374, 37.90, 47, 1 1 2
2.350, 38.30, 59, 2 0 1
2.134, 42.35, 42, 2 0 2
1.878, 48.47, 57, 2 0 3
1.637, 56.19, 22, 2 0 4
1.562, 59.14, 18, 2 1 3
1.431, 65.20, 42, 2 0 5
1.407, 66.43, 37, 2 2 0

Starting from the GGA+U geometry in the Materials Project, the X-ray powder pattern of MgMn2Cr2O8 was computed for λ = 1.5418 Å (Cu Kα).

Structural model:
```
data_MgMn2Cr2O8
_cell_length_a 6.4665
_cell_length_b 5.7753
_cell_length_c 8.7976
_cell_angle_alpha 90.00
_cell_angle_beta 90.00
_cell_angle_gamma 90.00
_space_group_name_H-M_alt 'A m m 2'
_space_group_IT_number 38
loop_
_space_group_symop_operation_xyz
'x,y,z'
'-x,-y,z'
'-x,y,z'
'x,-y,z'
'x,y+1/2,z+1/2'
'-x,-y+1/2,z+1/2'
'-x,y+1/2,z+1/2'
'x,-y+1/2,z+1/2'
loop_
_atom_site_label
_atom_site_type_symbol
_atom_site_fract_x
_atom_site_fract_y
_atom_site_fract_z
_atom_site_occupancy
Mg1 Mg 0.0000 0.0000 0.0000 1
Mn1 Mn 0.2553 0.0000 0.6591 1
Cr1 Cr 0.0000 0.0000 0.3152 1
Cr2 Cr 0.5000 0.0000 0.0182 1
O1 O 0.0000 0.2357 0.1731 1
O2 O 0.2145 0.0000 0.4183 1
O3 O 0.2756 0.0000 0.9013 1
O4 O 0.5000 0.2476 0.6246 1
```

Main lines, by angle (2θ = 15–90°):
d [Å], two_theta, intensity, h k l
3.869, 22.99, 45, 1 1 1
3.637, 24.47, 31, 1 0 2
2.888, 30.97, 48, 0 2 0
2.686, 33.35, 100, 2 1 1
2.615, 34.30, 61, 0 1 3
1.935, 46.97, 27, 2 2 2
1.819, 50.17, 19, 2 0 4
1.626, 56.62, 18, 2 3 1
1.617, 56.96, 14, 4 0 0
1.609, 57.25, 15, 0 3 3
1.539, 60.13, 40, 2 2 4
1.375, 68.20, 14, 4 1 3